[1]
Theoretical X-ray powder pattern of LaScHg6 for Cu Kα X-rays, from the PBE geometry in OQMD.
Neutral-atom scattering factors, no anomalous dispersion.

Atomic structure:
Cell lengths 6.6381, 6.6381, 5.0019 Å; angles 90.00, 90.00, 120.00 degrees
Space group P-6m2 (No. 187)
Unique sites:
La: 0.0000 0.0000 0.0000 [1 per cell]
Sc: 0.3333 0.6667 0.5000 [1 per cell]
Hg: 0.0112 0.5056 0.0000 [3 per cell]
Hg: 0.3469 0.1735 0.5000 [3 per cell]

Principal peaks in the range 10° ≤ 2θ ≤ 90°, sorted by position:
(1 0 1), 2θ = 23.6°, 3.773 Å, rel. 9
(2 0 0), 2θ = 31.1°, 2.874 Å, rel. 25
(0 0 2), 2θ = 35.9°, 2.501 Å, rel. 23
(2 0 1), 2θ = 36.0°, 2.492 Å, rel. 100
(2 0 2), 2θ = 48.2°, 1.887 Å, rel. 15
(2 2 0), 2θ = 55.4°, 1.660 Å, rel. 19
(2 0 3), 2θ = 64.6°, 1.442 Å, rel. 19
(2 2 2), 2θ = 67.8°, 1.382 Å, rel. 37



[2]
Theoretical X-ray powder pattern of Li8Mg2Hg for Cu Kα X-rays, from the PBE geometry in OQMD.
Neutral-atom scattering factors, no anomalous dispersion.

Atomic structure:
Cell lengths 7.9936, 4.6224, 10.7875 Å; angles 90.00, 104.25, 90.00 degrees
Space group C2/m (No. 12)
Unique sites:
Li: 0.0864 0.0000 0.2590 [4 per cell]
Li: 0.1402 0.5000 0.9208 [4 per cell]
Li: 0.1780 0.0000 0.5345 [4 per cell]
Li: 0.2273 0.5000 0.1812 [4 per cell]
Mg: 0.0474 0.5000 0.6427 [4 per cell]
Hg: 0.0000 0.0000 0.0000 [2 per cell]

Principal peaks in the range 10° ≤ 2θ ≤ 90°, sorted by position:
(0 0 2), 2θ = 17.0°, 5.228 Å, rel. 43
(1 1 0), 2θ = 22.4°, 3.968 Å, rel. 48
(2 0 0), 2θ = 22.9°, 3.876 Å, rel. 100
(1 1 1), 2θ = 25.0°, 3.563 Å, rel. 68
(2 0 1), 2θ = 26.4°, 3.373 Å, rel. 49
(1 1 2), 2θ = 29.9°, 2.984 Å, rel. 46
(2 0 3), 2θ = 38.8°, 2.322 Å, rel. 42
(0 2 0), 2θ = 39.0°, 2.309 Å, rel. 42



[3]
Theoretical X-ray powder pattern of LiHgMo for Cu Kα X-rays, from the PBE geometry in OQMD.
Neutral-atom scattering factors, no anomalous dispersion.

Atomic structure:
Cell lengths 5.9731, 5.9731, 5.9731 Å; angles 90.00, 90.00, 90.00 degrees
Space group F-43m (No. 216)
Unique sites:
Li: 0.0000 0.0000 0.0000 [4 per cell]
Hg: 0.2500 0.2500 0.7500 [4 per cell]
Mo: 0.2500 0.2500 0.2500 [4 per cell]

Principal peaks in the range 10° ≤ 2θ ≤ 90°, sorted by position:
(1 1 1), 2θ = 25.8°, 3.449 Å, rel. 22
(2 0 0), 2θ = 29.9°, 2.987 Å, rel. 100
(2 2 0), 2θ = 42.8°, 2.112 Å, rel. 81
(3 1 1), 2θ = 50.7°, 1.801 Å, rel. 12
(2 2 2), 2θ = 53.1°, 1.724 Å, rel. 27
(4 0 0), 2θ = 62.2°, 1.493 Å, rel. 13
(4 2 0), 2θ = 70.5°, 1.336 Å, rel. 35
(4 2 2), 2θ = 78.4°, 1.219 Å, rel. 28



[4]
Theoretical X-ray powder pattern of LiHg3MoS4 for Cu Kα X-rays, from the PBE geometry in OQMD.
Neutral-atom scattering factors, no anomalous dispersion.

Atomic structure:
Cell lengths 6.0521, 6.0521, 6.0521 Å; angles 90.00, 90.00, 90.00 degrees
Space group P-43m (No. 215)
Unique sites:
Li: 0.0000 0.0000 0.0000 [1 per cell]
Hg: 0.0000 0.5000 0.5000 [3 per cell]
Mo: 0.5000 0.5000 0.5000 [1 per cell]
S: 0.2440 0.2440 0.2440 [4 per cell]

Principal peaks in the range 10° ≤ 2θ ≤ 90°, sorted by position:
(1 0 0), 2θ = 14.6°, 6.052 Å, rel. 81
(1 1 1), 2θ = 25.5°, 3.494 Å, rel. 100
(2 0 0), 2θ = 29.5°, 3.026 Å, rel. 61
(2 1 0), 2θ = 33.1°, 2.707 Å, rel. 50
(2 2 0), 2θ = 42.2°, 2.140 Å, rel. 100
(3 0 0), 2θ = 44.9°, 2.017 Å, rel. 26
(3 1 1), 2θ = 50.0°, 1.825 Å, rel. 50
(4 2 2), 2θ = 77.2°, 1.235 Å, rel. 34



[5]
Theoretical X-ray powder pattern of Li3HgO4 for Cu Kα X-rays, from the PBE geometry in OQMD.
Neutral-atom scattering factors, no anomalous dispersion.

Atomic structure:
Cell lengths 5.2335, 12.2118, 5.3913 Å; angles 90.00, 111.72, 90.00 degrees
Space group P2 (No. 3)
Unique sites:
Li: 0.0000 0.0000 0.0000 [1 per cell]
Li: 0.0000 0.1019 0.5000 [1 per cell]
Li: 0.0000 0.2239 0.0000 [1 per cell]
Li: 0.0000 0.3737 0.5000 [1 per cell]
Li: 0.0000 0.5210 0.0000 [1 per cell]
Li: 0.0000 0.6442 0.5000 [1 per cell]
Li: 0.0000 0.7676 0.0000 [1 per cell]
Li: 0.0000 0.8835 0.5000 [1 per cell]
Li: 0.5000 0.1107 0.0000 [1 per cell]
Li: 0.5000 0.6366 0.0000 [1 per cell]
Li: 0.5000 0.8819 0.0000 [1 per cell]
Li: 0.5000 0.9966 0.5000 [1 per cell]
Hg: 0.5000 0.2326 0.5000 [1 per cell]
Hg: 0.5000 0.3764 0.0000 [1 per cell]
Hg: 0.5000 0.5035 0.5000 [1 per cell]
Hg: 0.5000 0.7606 0.5000 [1 per cell]
O: 0.2321 0.3597 0.2961 [2 per cell]
O: 0.2363 0.4987 0.7875 [2 per cell]
O: 0.2389 0.9996 0.7686 [2 per cell]
O: 0.2395 0.6387 0.2536 [2 per cell]
O: 0.2428 0.1152 0.2694 [2 per cell]
O: 0.2430 0.2530 0.7868 [2 per cell]
O: 0.2493 0.8770 0.2563 [2 per cell]
O: 0.2673 0.7556 0.7362 [2 per cell]

Principal peaks in the range 10° ≤ 2θ ≤ 90°, sorted by position:
(1 0 0), 2θ = 18.2°, 4.862 Å, rel. 100
(1 1 0), 2θ = 19.7°, 4.517 Å, rel. 30
(1 3 -1), 2θ = 29.9°, 2.985 Å, rel. 30
(1 0 -2), 2θ = 33.6°, 2.663 Å, rel. 28
(0 4 1), 2θ = 34.4°, 2.606 Å, rel. 48
(0 0 2), 2θ = 35.8°, 2.506 Å, rel. 35
(2 0 -2), 2θ = 41.1°, 2.197 Å, rel. 29
(1 4 1), 2θ = 42.4°, 2.133 Å, rel. 52



[6]
Theoretical X-ray powder pattern of Li3HgO4 for Cu Kα X-rays, from the PBE geometry in OQMD.
Neutral-atom scattering factors, no anomalous dispersion.

Atomic structure:
Cell lengths 9.7908, 3.1691, 5.1270 Å; angles 90.00, 101.16, 90.00 degrees
Space group C2/m (No. 12)
Unique sites:
Li: 0.0000 0.0000 0.0000 [2 per cell]
Li: 0.2449 0.0000 0.7727 [4 per cell]
Hg: 0.0000 0.5000 0.5000 [2 per cell]
O: 0.1243 0.5000 0.8670 [4 per cell]
O: 0.1306 0.0000 0.3751 [4 per cell]

Principal peaks in the range 10° ≤ 2θ ≤ 90°, sorted by position:
(0 0 1), 2θ = 17.6°, 5.030 Å, rel. 100
(2 0 0), 2θ = 18.5°, 4.803 Å, rel. 88
(2 0 -1), 2θ = 23.0°, 3.868 Å, rel. 56
(2 0 1), 2θ = 28.1°, 3.180 Å, rel. 33
(1 1 0), 2θ = 29.7°, 3.010 Å, rel. 59
(1 1 -1), 2θ = 33.8°, 2.654 Å, rel. 44
(0 0 2), 2θ = 35.7°, 2.516 Å, rel. 39
(3 1 -1), 2θ = 41.6°, 2.169 Å, rel. 49